Structure and theoretical PXRD pattern of Nd8Ga2Te (the GGA-PBE geometry in Alexandria; Cu Kα (λ = 1.5418 Å)).

Structural model:
```
Nd8Ga2Te
1.0
9.9497 -2.4708 0.0000
9.9497 2.4708 0.0000
-1.4173 0.0000 7.0218
Nd Ga Te
8 2 1
Cartesian
0.2938 0.0000 1.8177 Nd
3.0087 0.0000 5.8514 Nd
5.9292 0.0000 3.5576 Nd
7.9758 0.0000 0.2484 Nd
10.5064 0.0000 6.7734 Nd
12.5529 0.0000 3.4642 Nd
15.4734 0.0000 1.1704 Nd
18.1883 0.0000 5.2041 Nd
3.3729 0.0000 1.7470 Ga
15.1092 0.0000 5.2748 Ga
9.2411 0.0000 3.5109 Te
```

Main lines, by angle (10 to 90 degrees two-theta):
d [Å], I_rel
3.269, 42.8
3.062, 37.9
2.982, 67.4
2.900, 100.0
2.768, 42.3
2.750, 29.4
2.660, 24.8
2.471, 64.1
2.427, 31.9
1.556, 25.1